Entry 1:
This entry pairs a crystal structure of MgAl2P2H18O18 with its simulated powder diffraction line list. Radiation: copper Kα. Structure: a crystal structure in Alexandria, relaxed with GGA-PBE.
Kinematic intensities with the Lorentz-polarization factor, no thermal factor.

Principal peaks in the range 10 to 90 degrees two-theta, in order of rising 2θ:
Position (°2θ)  I_rel
13.80  1000
18.46  608
22.32  241
27.81  906
28.69  400
31.07  339
31.21  402
34.68  507
37.40  265
44.87  358

Atomic structure:
```
MgAl2P2H18O18
1.0
5.267 0.000 0.000
-2.436 6.554 0.000
-2.065 -2.032 9.874
Mg Al P H O
1 2 2 18 18
direct
0.000 0.000 0.000
0.500 0.000 0.500
0.500 0.500 0.500
0.013 0.921 0.667
0.987 0.079 0.333
0.090 0.572 0.261
0.090 0.658 0.818
0.169 0.674 0.515
0.180 0.394 0.944
0.306 0.947 0.206
0.312 0.493 0.723
0.325 0.408 0.097
0.388 0.299 0.673
0.465 0.001 0.876
0.535 0.999 0.124
0.612 0.701 0.327
0.675 0.592 0.903
0.688 0.507 0.277
0.694 0.053 0.794
0.820 0.606 0.056
0.831 0.326 0.485
0.910 0.342 0.182
0.910 0.428 0.739
0.087 0.512 0.806
0.094 0.905 0.818
0.126 0.299 0.425
0.188 0.960 0.350
0.247 0.315 0.008
0.286 0.044 0.627
0.330 0.948 0.113
0.355 0.710 0.496
0.454 0.456 0.683
0.546 0.544 0.317
0.645 0.290 0.504
0.670 0.052 0.887
0.714 0.956 0.373
0.753 0.685 0.992
0.812 0.040 0.650
0.874 0.701 0.575
0.906 0.095 0.182
0.913 0.488 0.194
```


Entry 2:
This entry pairs a crystal structure of RbMgAl2H8 with its simulated powder diffraction line list. Radiation: copper Kα. Structure: a crystal structure in Alexandria, relaxed with GGA-PBE.
Kinematic intensities with the Lorentz-polarization factor, no thermal factor.

Principal peaks in the range 10 to 90 degrees two-theta, in order of rising 2θ:
Position (°2θ)  I_rel
21.00  282
22.11  176
26.12  1000
28.79  235
36.10  436
38.42  262
45.10  215
52.06  124
59.08  190
66.46  103

Atomic structure:
```
RbMgAl2H8
1.0
2.488 1.436 7.444
-2.488 1.436 7.444
0.000 -2.873 7.444
Rb Mg Al H
1 1 2 8
direct
0.000 0.000 0.000
0.500 0.500 0.500
0.230 0.230 0.230
0.770 0.770 0.770
0.114 0.785 0.459
0.215 0.541 0.886
0.304 0.304 0.304
0.459 0.114 0.785
0.541 0.886 0.215
0.696 0.696 0.696
0.785 0.459 0.114
0.886 0.215 0.541
```


Entry 3:
This entry pairs a crystal structure of MnAlH6 with its simulated powder diffraction line list. Radiation: copper Kα. Structure: a crystal structure in Alexandria, relaxed with GGA-PBE.
Kinematic intensities with the Lorentz-polarization factor, no thermal factor.

Principal peaks in the range 10 to 90 degrees two-theta, in order of rising 2θ:
Position (°2θ)  I_rel
19.29  1000
22.60  116
23.80  99
32.42  123
33.43  114
34.11  107
36.61  82
39.15  122
42.91  93
46.15  79

Atomic structure:
```
MnAlH6
1.0
2.934 0.000 0.000
-1.458 4.225 0.000
-1.015 -1.802 4.602
Mn Al H
1 1 6
direct
0.000 0.000 0.000
0.279 0.561 0.001
0.245 0.357 0.270
0.355 0.958 0.800
0.576 0.125 0.200
0.707 0.625 0.747
0.944 0.127 0.730
0.989 0.841 0.253
```


- Number 1 is which compound?
  MgAl2P2H18O18